1.
LaLu2Co: computed powder diffractogram (Cu Ka), based on a crystal structure in Alexandria, relaxed with GGA-PBE.
Neutral-atom scattering factors, no anomalous dispersion.

Principal peaks in the range 2θ from 5° to 70°, low angle first:
8.6°, intensity 62.3
26.1°, intensity 52.3
28.9°, intensity 81.9
37.3°, intensity 100.0
41.4°, intensity 40.5
50.9°, intensity 46.1

Structure:
Cell lengths 3.5875, 3.5875, 30.6717 Å; angles 90.00, 90.00, 120.00 degrees
Space group R-3m (No. 166, hexagonal axes)
Asymmetric unit:
La: 0.0000 0.0000 0.0000
Lu: 0.0000 0.0000 0.1163
Co: 0.0000 0.0000 0.5000

2.
La3Mg3Co2: computed powder diffractogram (Cu Ka), based on a crystal structure in Alexandria, relaxed with GGA-PBE.
Neutral-atom scattering factors, no anomalous dispersion.

Principal peaks in the range 2θ from 5° to 70°, low angle first:
19.8°, intensity 100.0
29.1°, intensity 76.1
32.1°, intensity 91.5
32.8°, intensity 89.0
38.6°, intensity 62.8
40.5°, intensity 58.3

Structure:
Cell lengths 17.0550, 4.6642, 5.0671 Å; angles 90.00, 99.15, 90.00 degrees
Space group C2/m (No. 12)
Asymmetric unit:
La: 0.0000 0.0000 0.0000
La: 0.1720 0.0000 0.5915
Mg: 0.0000 0.5000 0.5000
Mg: 0.1392 0.5000 0.0620
Co: 0.2162 0.0000 0.0749

3.
LaMgCo: computed powder diffractogram (Cu Ka), based on a crystal structure in Alexandria, relaxed with GGA-PBE.
Neutral-atom scattering factors, no anomalous dispersion.

Principal peaks in the range 2θ from 5° to 70°, low angle first:
16.5°, intensity 34.6
24.8°, intensity 100.0
32.4°, intensity 24.5
37.4°, intensity 38.9
38.3°, intensity 39.8
40.1°, intensity 44.2

Structure:
Cell lengths 5.1838, 4.8099, 5.4861 Å; angles 90.00, 101.26, 90.00 degrees
Space group P2_1/m (No. 11)
Asymmetric unit:
La: 0.1018 0.2500 0.3006
Mg: 0.4824 0.2500 0.8463
Co: 0.3835 0.7500 0.6111

4.
La5Mg2Co2: computed powder diffractogram (Cu Ka), based on a crystal structure in Alexandria, relaxed with GGA-PBE.
Neutral-atom scattering factors, no anomalous dispersion.

Principal peaks in the range 2θ from 5° to 70°, low angle first:
10.6°, intensity 51.3
23.2°, intensity 24.4
31.3°, intensity 100.0
31.7°, intensity 60.9
32.6°, intensity 57.7
39.3°, intensity 24.0

Structure:
Cell lengths 7.6800, 7.8755, 16.6339 Å; angles 90.00, 90.00, 90.00 degrees
Space group Fmmm (No. 69)
Asymmetric unit:
La: 0.0000 0.0000 0.0000
La: 0.2500 0.2500 0.1197
Mg: 0.0000 0.0000 0.2443
Co: 0.1576 0.0000 0.5000

5.
La6MgCo3: computed powder diffractogram (Cu Ka), based on a crystal structure in Alexandria, relaxed with GGA-PBE.
Neutral-atom scattering factors, no anomalous dispersion.

Principal peaks in the range 2θ from 5° to 70°, low angle first:
16.0°, intensity 54.8
28.0°, intensity 57.0
29.4°, intensity 100.0
32.4°, intensity 44.0
33.5°, intensity 56.9
35.2°, intensity 84.4

Structure:
Cell lengths 11.2083, 13.4351, 7.2249 Å; angles 90.00, 90.00, 90.00 degrees
Space group Cmc2_1 (No. 36)
Asymmetric unit:
La: 0.0000 0.0305 0.0000
La: 0.0000 0.2275 0.6660
La: 0.1579 0.4686 0.4822
La: 0.2335 0.1916 0.3575
Mg: 0.0000 0.3226 0.1349
Co: 0.0000 0.4046 0.7855
Co: 0.1893 0.1048 0.6960